Entry 1:
Simulated powder X-ray diffraction pattern of Pr6Nd2In for copper Kα, from a crystal structure in Alexandria, relaxed with GGA-PBE.

Most intense lines, 10 to 80 degrees two-theta, sorted by position:
hkl  2theta  I (rel.)
1 2 3  26.9  25
2 0 0  27.9  24
1 1 6  31.2  66
1 3 0  31.6  76
0 2 6  32.4  100
2 2 6  43.3  18

Structural model:
```
data_Pr6Nd2In
_chemical_formula_sum 'Pr24 Nd8 In4'
_cell_length_a 6.393
_cell_length_b 9.459
_cell_length_c 20.430
_cell_angle_alpha 90.00
_cell_angle_beta 90.00
_cell_angle_gamma 90.00
_space_group_name_H-M_alt 'I b a m'
_space_group_IT_number 72
_space_group_name_Hall '-I 2 2c'
loop_
_atom_site_label
_atom_site_fract_x
_atom_site_fract_y
_atom_site_fract_z
Pr1 0.000 0.000 0.083
Pr2 0.107 0.322 0.174
Nd1 0.061 0.329 0.500
In1 0.000 0.000 0.250
```

Entry 2:
Simulated powder X-ray diffraction pattern of Nd4InPt2 for copper Kα, from a crystal structure in Alexandria, relaxed with GGA-PBE.

Most intense lines, 10 to 80 degrees two-theta, sorted by position:
hkl  2theta  I (rel.)
1 1 1  13.2  45
0 4 0  27.6  54
3 1 1  30.0  100
1 1 5  33.4  66
1 5 1  36.6  36
0 4 4  37.5  44

Structural model:
```
data_Nd4InPt2
_chemical_formula_sum 'Nd32 In8 Pt16'
_cell_length_a 9.406
_cell_length_b 12.916
_cell_length_c 14.337
_cell_angle_alpha 90.00
_cell_angle_beta 90.00
_cell_angle_gamma 90.00
_space_group_name_H-M_alt 'F d d d'
_space_group_IT_number 70
loop_
_space_group_symop_operation_xyz
'x,y,z'
'-x,-y,-z'
'-x+1/4,-y+1/4,z'
'x+1/4,y+1/4,-z'
'x,-y+1/4,-z+1/4'
'-x,y+1/4,z+1/4'
'-x+1/4,y,-z+1/4'
'x+1/4,-y,z+1/4'
'x,y+1/2,z+1/2'
'-x,-y+1/2,-z+1/2'
'-x+1/4,-y+3/4,z+1/2'
'x+1/4,y+3/4,-z+1/2'
'x,-y+3/4,-z+3/4'
'-x,y+3/4,z+3/4'
'-x+1/4,y+1/2,-z+3/4'
'x+1/4,-y+1/2,z+3/4'
'x+1/2,y,z+1/2'
'-x+1/2,-y,-z+1/2'
'-x+3/4,-y+1/4,z+1/2'
'x+3/4,y+1/4,-z+1/2'
'x+1/2,-y+1/4,-z+3/4'
'-x+1/2,y+1/4,z+3/4'
'-x+3/4,y,-z+3/4'
'x+3/4,-y,z+3/4'
'x+1/2,y+1/2,z'
'-x+1/2,-y+1/2,-z'
'-x+3/4,-y+3/4,z'
'x+3/4,y+3/4,-z'
'x+1/2,-y+3/4,-z+1/4'
'-x+1/2,y+3/4,z+1/4'
'-x+3/4,y+1/2,-z+1/4'
'x+3/4,-y+1/2,z+1/4'
loop_
_atom_site_label
_atom_site_fract_x
_atom_site_fract_y
_atom_site_fract_z
Nd1 0.043 0.273 0.456
In1 0.125 0.125 0.625
Pt1 0.000 0.000 0.000
```

Number 2 is which compound? Nd4InPt2